No. 1
Simulated powder diffractogram
Compound: Tl4AsPAu2
Radiation: Cu Kα (weighted mean of Kα1 and Kα2)
Structure: a crystal structure in OQMD, relaxed with PBE
Lines closer than 0.1° are merged.

Atomic structure:
Lattice parameters (Å, degrees): 6.519 10.316 6.487 90.00 90.00 90.00
Space group Amm2 (No. 38)
Unique sites:
Tl: 0.000 0.176 0.000 [4 per cell]
Tl: 0.500 0.181 0.647 [4 per cell]
As: 0.500 0.000 0.045 [2 per cell]
P: 0.000 0.000 0.613 [2 per cell]
Au: 0.247 0.000 0.341 [4 per cell]

The 10 most intense peaks (2θ = 5–70°), low angle first:
2θ (°), d_spacing, I (rel.), hkl
29.4, 3.038, 35, 0 3 1
30.8, 2.904, 22, 1 0 2
31.9, 2.803, 37, 2 1 1
32.5, 2.754, 100, 1 3 1
32.6, 2.746, 19, 0 2 2
35.5, 2.531, 16, 1 2 2
39.2, 2.299, 30, 2 0 2
42.7, 2.116, 16, 0 1 3
51.7, 1.768, 18, 3 3 1
57.8, 1.596, 25, 2 3 3


No. 2
Simulated powder diffractogram
Compound: ZnNi15
Radiation: Cu Kα (weighted mean of Kα1 and Kα2)
Structure: a crystal structure in OQMD, relaxed with PBE
Lines closer than 0.1° are merged.

Atomic structure:
Lattice parameters (Å, degrees): 3.675 3.675 38.425 90.00 90.00 90.00
Space group Pmm2 (No. 25)
Unique sites:
Zn: 0.000 0.000 0.000 [1 per cell]
Zn: 0.500 0.000 0.353 [1 per cell]
Ni: 0.000 0.000 0.400 [1 per cell]
Ni: 0.000 0.000 0.485 [1 per cell]
Ni: 0.000 0.000 0.570 [1 per cell]
Ni: 0.000 0.000 0.655 [1 per cell]
Ni: 0.000 0.000 0.740 [1 per cell]
Ni: 0.000 0.000 0.825 [1 per cell]
Ni: 0.000 0.000 0.910 [1 per cell]
Ni: 0.000 0.500 0.358 [1 per cell]
Ni: 0.000 0.500 0.442 [1 per cell]
Ni: 0.000 0.500 0.528 [1 per cell]
Ni: 0.000 0.500 0.613 [1 per cell]
Ni: 0.000 0.500 0.698 [1 per cell]
Ni: 0.000 0.500 0.783 [1 per cell]
Ni: 0.000 0.500 0.868 [1 per cell]
Ni: 0.000 0.500 0.954 [1 per cell]
Ni: 0.500 0.000 0.443 [1 per cell]
Ni: 0.500 0.000 0.528 [1 per cell]
Ni: 0.500 0.000 0.613 [1 per cell]
Ni: 0.500 0.000 0.698 [1 per cell]
Ni: 0.500 0.000 0.783 [1 per cell]
Ni: 0.500 0.000 0.868 [1 per cell]
Ni: 0.500 0.000 0.954 [1 per cell]
Ni: 0.500 0.500 0.400 [1 per cell]
Ni: 0.500 0.500 0.485 [1 per cell]
Ni: 0.500 0.500 0.570 [1 per cell]
Ni: 0.500 0.500 0.655 [1 per cell]
Ni: 0.500 0.500 0.740 [1 per cell]
Ni: 0.500 0.500 0.825 [1 per cell]
Ni: 0.500 0.500 0.911 [1 per cell]
Ni: 0.500 0.500 0.995 [1 per cell]

The 10 most intense peaks (2θ = 5–70°), low angle first:
2θ (°), d_spacing, I (rel.), hkl
9.2, 9.606, 10, 0 0 4
11.5, 7.685, 8, 0 0 5
39.4, 2.285, 3, 1 1 8
42.0, 2.152, 4, 1 1 10
43.4, 2.085, 51, 1 1 11
44.9, 2.018, 100, 1 1 12
49.6, 1.837, 54, 2 0 0
49.9, 1.829, 5, 2 0 2
55.0, 1.671, 11, 0 0 23
57.6, 1.601, 8, 0 0 24